(1)
# Tb2HoAl2
Computed powder X-ray diffraction pattern, Cu Ka. Input: a crystal structure in Alexandria, relaxed with GGA-PBE.
Neutral-atom scattering factors, no anomalous dispersion.

Crystal structure
```
10
Lattice="3.654 0.000 0.000 0.000 5.134 0.000 -1.832 0.000 13.381" Properties=species:S:1:pos:R:3 pbc="T T T"
Tb -0.001 1.284 1.254
Tb -0.004 1.284 6.254
Tb 1.826 3.851 7.127
Tb 1.823 3.851 12.127
Ho -0.005 3.851 3.883
Ho 1.827 1.284 9.498
Al -0.002 3.851 9.610
Al -0.004 1.284 12.043
Al 1.826 3.851 1.338
Al 1.824 1.284 3.771
```

Top 8 peaks for 10° ≤ 2θ ≤ 90°, sorted by position:
| 2θ (°) | I/Imax |
| --- | --- |
| 24.6 | 228 |
| 26.5 | 379 |
| 33.5 | 204 |
| 34.5 | 1000 |
| 35.0 | 264 |
| 49.2 | 138 |
| 58.0 | 201 |
| 62.4 | 279 |

=====

(2)
# YCoHg2
Computed powder X-ray diffraction pattern, Cu Ka. Input: a crystal structure in Alexandria, relaxed with GGA-PBE.
Neutral-atom scattering factors, no anomalous dispersion.

Crystal structure
```
4
Lattice="4.303 0.000 0.000 0.000 4.303 0.000 0.000 0.000 4.528" Properties=species:S:1:pos:R:3 pbc="T T T"
Y 0.000 0.000 0.000
Co 2.152 2.152 0.000
Hg 0.000 2.152 2.264
Hg 2.152 0.000 2.264
```

Top 8 peaks for 10° ≤ 2θ ≤ 90°, sorted by position:
| 2θ (°) | I/Imax |
| --- | --- |
| 19.6 | 204 |
| 29.4 | 162 |
| 35.5 | 1000 |
| 39.8 | 183 |
| 42.0 | 315 |
| 59.2 | 228 |
| 69.5 | 141 |
| 72.5 | 251 |

=====

(3)
# VCu23Pd6
Computed powder X-ray diffraction pattern, Cu Ka. Input: a crystal structure in Alexandria, relaxed with GGA-PBE.
Neutral-atom scattering factors, no anomalous dispersion.

Crystal structure
```
30
Lattice="0.000 5.823 5.823 5.823 0.000 5.823 5.823 5.823 0.000" Properties=species:S:1:pos:R:3 pbc="T T T"
V 0.000 0.000 0.000
Cu 2.911 2.911 0.000
Cu 2.911 0.000 2.911
Cu 5.823 2.911 2.911
Cu 7.339 4.307 4.307
Cu 1.636 1.636 1.636
Cu 4.187 4.187 1.636
Cu 4.187 1.636 4.187
Cu 4.307 4.307 4.307
Cu 7.339 7.339 4.307
Cu 7.339 4.307 7.339
Cu 10.010 7.459 7.459
Cu 0.000 2.911 2.911
Cu 2.911 5.823 2.911
Cu 2.911 2.911 5.823
Cu 5.823 5.823 5.823
Cu 1.636 4.187 4.187
Cu 4.307 7.339 4.307
Cu 4.307 4.307 7.339
Cu 7.339 7.339 7.339
Cu 7.459 10.010 7.459
Cu 7.459 7.459 10.010
Cu 10.010 10.010 10.010
Cu 4.307 7.339 7.339
Pd 5.823 5.823 2.837
Pd 5.823 2.837 5.823
Pd 8.809 5.823 5.823
Pd 2.837 5.823 5.823
Pd 5.823 8.809 5.823
Pd 5.823 5.823 8.809
```

Top 8 peaks for 10° ≤ 2θ ≤ 90°, sorted by position:
| 2θ (°) | I/Imax |
| --- | --- |
| 21.6 | 61 |
| 34.4 | 91 |
| 37.8 | 43 |
| 44.0 | 1000 |
| 46.8 | 34 |
| 64.0 | 140 |
| 66.2 | 37 |
| 80.9 | 257 |